# Tl3CoCl7
Simulated XRD peak list, Cu Kα. Input: DFT lattice parameters and positions (PBE).

Crystal structure
Cell: 7.1042 7.1042 7.3264 Å, 109.10 109.10 85.07°
Fractional coordinates of all 11 atoms:
Tl: 0.0000 0.0000 0.0000
Tl: 0.2831 0.7114 0.4778
Tl: 0.7114 0.2831 0.4778
Co: 0.5055 0.5055 0.9844
Cl: 0.0116 0.0116 0.4266
Cl: 0.2009 0.5403 0.7700
Cl: 0.3546 0.3546 0.1307
Cl: 0.4709 0.8089 0.2029
Cl: 0.5403 0.2009 0.7700
Cl: 0.6534 0.6534 0.8346
Cl: 0.8089 0.4709 0.2029

Top 10 peaks for 10 to 80 degrees two-theta, in order of rising 2θ:
| Position (°2θ) | I_rel |
| --- | --- |
| 18.92 | 90 |
| 22.94 | 100 |
| 25.28 | 51 |
| 25.69 | 39 |
| 27.18 | 34 |
| 29.48 | 32 |
| 33.64 | 50 |
| 35.84 | 30 |
| 37.42 | 26 |
| 39.35 | 26 |